Calculated PXRD pattern of NaSrZrSbO6 for copper Kα, from DFT lattice parameters and positions (PBE).

Structure:
```
NaSrZrSbO6
1.0
0.000 4.082 4.082
4.082 0.000 4.082
4.082 4.082 0.000
Na Sr Zr Sb O
1 1 1 1 6
Direct
0.000 0.000 0.000
0.500 0.500 0.500
0.750 0.750 0.750
0.250 0.250 0.250
0.006 0.006 0.494
0.006 0.494 0.006
0.006 0.494 0.494
0.494 0.006 0.006
0.494 0.006 0.494
0.494 0.494 0.006
```

Principal peaks in the range 5° ≤ 2θ ≤ 70°, by intensity:
2θ = 30.98°, intensity 100; 2θ = 55.11°, intensity 39; 2θ = 44.38°, intensity 37; 2θ = 21.77°, intensity 27; 2θ = 64.58°, intensity 22; 2θ = 18.83°, intensity 13; 2θ = 49.96°, intensity 10; 2θ = 36.50°, intensity 7; 2θ = 69.02°, intensity 4; 2θ = 48.61°, intensity 3